Record 1
Yb4MgRu4O14: calculated powder diffraction line list (Cu Kα), based on DFT lattice parameters and positions (GGA-PBE).
No peak broadening, texture or thermal motion is included.

The 10 most intense peaks (2θ = 10–80°), in order of falling intensity:
- 29.62 deg, rel. 100.0, (2 2 2)
- 49.35 deg, rel. 46.5, (4 4 0)
- 58.62 deg, rel. 41.7, (6 2 2)
- 34.34 deg, rel. 32.2, (4 0 0)
- 61.50 deg, rel. 9.7, (4 4 4)
- 72.37 deg, rel. 6.6, (8 0 0)
- 37.53 deg, rel. 6.5, (3 3 1)
- 45.10 deg, rel. 4.4, (5 1 1)
- 28.33 deg, rel. 4.3, (3 1 1)
- 14.69 deg, rel. 3.6, (1 1 1)

Cell and atoms:
Lattice parameters (Å, degrees): 10.4466 10.4466 10.4466 90.00 90.00 90.00
Space group F-43m (No. 216)
Asymmetric unit:
1 Yb 0.1255 0.1255 0.1255 [16 per cell]
2 Mg 0.2500 0.2500 0.7500 [4 per cell]
3 Ru 0.1160 0.1160 0.6160 [16 per cell]
4 O 0.0000 0.0000 0.0000 [4 per cell]
5 O 0.0000 0.0000 0.3001 [24 per cell]
6 O 0.0454 0.2500 0.7500 [24 per cell]
7 O 0.2500 0.2500 0.2500 [4 per cell]

***

Record 2
Yb4MgRu4O14: calculated powder diffraction line list (Cu Kα), based on DFT lattice parameters and positions (GGA-PBE).
No peak broadening, texture or thermal motion is included.

The 10 most intense peaks (2θ = 10–80°), in order of falling intensity:
- 29.57 deg, rel. 100.0, (2 0 2)
- 34.37 deg, rel. 49.3, (0 2 4)
- 49.18 deg, rel. 32.7, (2 2 0)
- 29.89 deg, rel. 31.4, (0 0 6)
- 49.60 deg, rel. 29.2, (2 0 8)
- 58.62 deg, rel. 26.3, (2 2 6)
- 58.43 deg, rel. 13.9, (0 4 2)
- 58.99 deg, rel. 11.6, (0 2 10)
- 79.80 deg, rel. 10.6, (4 2 2)
- 61.37 deg, rel. 10.6, (4 0 4)

Cell and atoms:
Lattice parameters (Å, degrees): 7.4103 7.4103 17.9375 90.00 90.00 120.00
Space group R3m (No. 160, hexagonal axes)
Asymmetric unit:
1 Yb 0.0000 0.0000 0.0000 [3 per cell]
2 Yb 0.1783 0.3566 0.8431 [9 per cell]
3 Mg 0.0000 0.0000 0.7454 [3 per cell]
4 Ru 0.0000 0.0000 0.4936 [3 per cell]
5 Ru 0.0114 0.5057 0.9955 [9 per cell]
6 O 0.0000 0.0000 0.1234 [3 per cell]
7 O 0.0000 0.0000 0.8566 [3 per cell]
8 O 0.0622 0.5311 0.3593 [9 per cell]
9 O 0.0684 0.5342 0.1031 [9 per cell]
10 O 0.1935 0.3870 0.9703 [9 per cell]
11 O 0.1972 0.3944 0.2201 [9 per cell]

***

Record 3
Mg3SO6: calculated powder diffraction line list (Cu Kα), based on DFT lattice parameters and positions (GGA-PBE).
No peak broadening, texture or thermal motion is included.

The 10 most intense peaks (2θ = 10–80°), in order of falling intensity:
- 31.90 deg, rel. 100.0, (2 2 1)
- 20.84 deg, rel. 81.3, (1 1 1)
- 27.87 deg, rel. 56.0, (1 3 0)
- 31.53 deg, rel. 44.8, (0 0 2)
- 44.12 deg, rel. 38.5, (4 0 0)
- 32.10 deg, rel. 30.8, (1 3 1)
- 46.92 deg, rel. 23.6, (3 1 2)
- 58.20 deg, rel. 15.1, (4 2 2)
- 56.38 deg, rel. 14.7, (2 2 3)
- 55.23 deg, rel. 14.0, (4 0 2)

Cell and atoms:
Lattice parameters (Å, degrees): 8.2163 10.4288 5.6753 90.00 90.00 90.00
Space group Cmc2_1 (No. 36)
Asymmetric unit:
1 Mg 0.0000 0.0513 0.0000 [4 per cell]
2 Mg 0.2136 0.4155 0.0035 [8 per cell]
3 S 0.0000 0.3163 0.5962 [4 per cell]
4 O 0.0000 0.3059 0.8676 [4 per cell]
5 O 0.0000 0.4566 0.5364 [4 per cell]
6 O 0.1492 0.2579 0.5034 [8 per cell]
7 O 0.1670 0.0009 0.2521 [8 per cell]

***

Record 4
MgSO6: calculated powder diffraction line list (Cu Kα), based on DFT lattice parameters and positions (GGA-PBE).
No peak broadening, texture or thermal motion is included.

The 10 most intense peaks (2θ = 10–80°), in order of falling intensity:
- 24.62 deg, rel. 100.0, (1 1 -1)
- 24.89 deg, rel. 44.1, (2 0 0)
- 50.47 deg, rel. 20.7, (2 2 -2)
- 20.62 deg, rel. 15.8, (1 1 0)
- 56.39 deg, rel. 13.6, (0 2 2)
- 58.17 deg, rel. 8.9, (5 1 -1)
- 21.69 deg, rel. 8.3, (0 0 1)
- 51.07 deg, rel. 8.0, (4 0 0)
- 54.38 deg, rel. 6.6, (1 3 -1)
- 34.79 deg, rel. 6.5, (1 1 1)

Cell and atoms:
Lattice parameters (Å, degrees): 8.5125 5.3945 4.8767 90.00 122.82 90.00
Space group C2/m (No. 12)
Asymmetric unit:
1 Mg 0.0000 0.0000 0.0000 [2 per cell]
2 S 0.0000 0.5000 0.5000 [2 per cell]
3 O 0.0443 0.2804 0.7571 [8 per cell]
4 O 0.2182 0.5000 0.6185 [4 per cell]

***

Record 5
Mg2SO6: calculated powder diffraction line list (Cu Kα), based on DFT lattice parameters and positions (GGA-PBE).
No peak broadening, texture or thermal motion is included.

The 10 most intense peaks (2θ = 10–80°), in order of falling intensity:
- 27.94 deg, rel. 100.0, (1 1 0)
- 55.24 deg, rel. 53.4, (2 1 3)
- 41.84 deg, rel. 37.9, (1 1 3)
- 36.56 deg, rel. 34.6, (1 0 3)
- 22.13 deg, rel. 29.2, (1 0 1)
- 57.74 deg, rel. 21.8, (2 2 0)
- 70.30 deg, rel. 21.5, (3 0 3)
- 20.21 deg, rel. 13.7, (0 0 2)
- 44.88 deg, rel. 11.1, (2 1 0)
- 70.76 deg, rel. 9.8, (1 1 6)

Cell and atoms:
Lattice parameters (Å, degrees): 4.5163 4.5163 8.7888 90.00 90.00 90.00
Space group P4_2/mnm (No. 136)
Asymmetric unit:
1 Mg 0.0000 0.0000 0.1671 [4 per cell]
2 S 0.0000 0.0000 0.5000 [2 per cell]
3 O 0.1794 0.1794 0.3632 [8 per cell]
4 O 0.2447 0.2447 0.0000 [4 per cell]

***

Record 6
MgSO9: calculated powder diffraction line list (Cu Kα), based on DFT lattice parameters and positions (GGA-PBE).
No peak broadening, texture or thermal motion is included.

The 10 most intense peaks (2θ = 10–80°), in order of falling intensity:
- 11.90 deg, rel. 100.0, (0 0 1)
- 21.38 deg, rel. 57.8, (1 1 1)
- 24.33 deg, rel. 45.8, (1 1 -1)
- 23.32 deg, rel. 37.9, (1 0 1)
- 18.47 deg, rel. 36.4, (0 1 0)
- 26.08 deg, rel. 32.5, (0 1 2)
- 32.75 deg, rel. 28.3, (1 2 1)
- 28.69 deg, rel. 27.1, (1 0 -2)
- 23.93 deg, rel. 22.6, (0 0 2)
- 19.12 deg, rel. 18.7, (0 1 1)

Cell and atoms:
Lattice parameters (Å, degrees): 5.3287 5.5401 7.7204 75.93 89.76 64.16
Space group P1 (No. 1)
Asymmetric unit:
1 Mg 0.0000 0.0000 0.0000 [1 per cell]
2 S 0.3985 0.3437 0.9738 [1 per cell]
3 O 0.2158 0.6406 0.9471 [1 per cell]
4 O 0.2378 0.1904 0.9603 [1 per cell]
5 O 0.4958 0.8992 0.5923 [1 per cell]
6 O 0.5469 0.2506 0.1732 [1 per cell]
7 O 0.6222 0.2865 0.8552 [1 per cell]
8 O 0.7432 0.8224 0.6447 [1 per cell]
9 O 0.7826 0.9655 0.2025 [1 per cell]
10 O 0.8726 0.3325 0.4812 [1 per cell]
11 O 0.9807 0.3766 0.3434 [1 per cell]